Tm4V6O19: simulated powder XRD pattern (Cu Kα X-rays), based on a GGA+U-relaxed structure.
Neutral-atom scattering factors, no anomalous dispersion.

Atomic structure:
```
29
Lattice="7.644 0.000 0.000 -2.466 7.238 0.000 -2.597 -3.613 6.239" Properties=species:S:1:pos:R:3 pbc="T T T"
Tm 0.000 0.000 0.000
Tm -2.472 3.974 1.933
Tm 0.089 -0.060 3.658
Tm 2.184 6.116 1.728
V -2.306 2.038 4.952
V 1.044 3.061 0.832
V 0.237 3.865 3.918
V 1.080 -2.202 5.979
V 2.651 1.908 2.827
V 3.670 -0.309 4.943
O -3.197 6.118 1.829
O -3.996 1.256 5.857
O -2.491 0.173 4.029
O -3.038 -1.470 6.023
O -2.814 3.526 5.804
O -0.307 3.650 2.042
O -0.730 2.032 4.096
O 1.017 1.326 1.829
O -0.458 -0.986 5.611
O -1.451 4.905 3.992
O 1.107 4.954 0.240
O 2.263 0.205 3.871
O 3.645 0.823 1.615
O 2.642 3.594 1.830
O 0.142 3.769 5.907
O 3.685 -1.900 3.593
O 1.886 2.803 4.286
O 4.754 2.813 0.065
O 4.421 2.579 3.421
```

Top 6 peaks for 5 to 70 degrees two-theta, low angle first:
2θ (°)  d [Å]  I/Imax
24.59  3.621  49
24.72  3.602  100
31.83  2.811  27
32.10  2.788  40
35.17  2.552  43
43.36  2.087  33